(1)
The following is a calculated PXRD pattern of Sm2TeBr3. It was derived from a PBE-relaxed structure, using CuKα.
No peak broadening, texture or thermal motion is included.

Structure:
```
Sm2TeBr3
1.0
9.263 -2.136 0.000
9.263 2.136 0.000
-8.441 0.000 10.985
Sm Te Br
4 2 6
Direct
0.109 0.109 0.439
0.369 0.369 0.160
0.631 0.631 0.840
0.891 0.891 0.561
0.099 0.099 0.663
0.901 0.901 0.337
0.168 0.168 0.022
0.260 0.260 0.400
0.443 0.443 0.749
0.557 0.557 0.251
0.740 0.740 0.600
0.832 0.832 0.978
```

Peak list (10 most intense, 10° ≤ 2θ ≤ 90°, in order of rising 2θ)
- 12.97 deg, rel. 100
- 24.24 deg, rel. 50
- 24.42 deg, rel. 63
- 24.78 deg, rel. 47
- 29.82 deg, rel. 96
- 32.26 deg, rel. 54
- 33.34 deg, rel. 78
- 40.65 deg, rel. 73
- 42.06 deg, rel. 47
- 42.32 deg, rel. 46



(2)
The following is a calculated PXRD pattern of SmTeBr. It was derived from a PBE-relaxed structure, using CuKα.
No peak broadening, texture or thermal motion is included.

Structure:
```
SmTeBr
1.0
7.387 0.000 0.000
0.000 7.387 0.000
0.000 0.000 7.387
Sm Te Br
4 4 4
Direct
0.000 0.000 0.000
0.000 0.500 0.500
0.500 0.000 0.500
0.500 0.500 0.000
0.250 0.250 0.250
0.250 0.750 0.750
0.750 0.250 0.750
0.750 0.750 0.250
0.250 0.250 0.750
0.250 0.750 0.250
0.750 0.250 0.250
0.750 0.750 0.750
```

Peak list (10 most intense, 10° ≤ 2θ ≤ 90°, in order of rising 2θ)
- 20.83 deg, rel. 45
- 34.33 deg, rel. 100
- 40.50 deg, rel. 24
- 49.34 deg, rel. 18
- 54.11 deg, rel. 10
- 61.49 deg, rel. 37
- 65.67 deg, rel. 8
- 72.36 deg, rel. 11
- 76.25 deg, rel. 8
- 82.60 deg, rel. 16



(3)
The following is a calculated PXRD pattern of SmThBr5. It was derived from a PBE-relaxed structure, using CuKα.
No peak broadening, texture or thermal motion is included.

Structure:
```
SmThBr5
1.0
8.764 0.000 0.000
0.000 3.942 0.000
-1.035 0.000 13.819
Sm Th Br
2 2 10
Direct
0.079 0.250 0.158
0.921 0.750 0.842
0.390 0.750 0.355
0.610 0.250 0.645
0.140 0.250 0.374
0.140 0.250 0.788
0.176 0.750 0.018
0.358 0.750 0.576
0.424 0.250 0.196
0.576 0.750 0.804
0.642 0.250 0.424
0.824 0.250 0.982
0.860 0.750 0.212
0.860 0.750 0.626
```

Peak list (10 most intense, 10° ≤ 2θ ≤ 90°, in order of rising 2θ)
- 11.57 deg, rel. 100
- 25.80 deg, rel. 19
- 28.35 deg, rel. 19
- 30.54 deg, rel. 30
- 30.91 deg, rel. 18
- 31.09 deg, rel. 26
- 31.85 deg, rel. 20
- 32.62 deg, rel. 14
- 41.42 deg, rel. 17
- 46.06 deg, rel. 14



(4)
The following is a calculated PXRD pattern of SmTlBr4. It was derived from a PBE-relaxed structure, using CuKα.
No peak broadening, texture or thermal motion is included.

Structure:
```
SmTlBr4
1.0
4.385 0.000 0.000
2.182 6.808 0.000
0.000 1.821 8.259
Sm Tl Br
1 1 4
Direct
0.000 0.000 0.000
0.500 0.000 0.500
0.120 0.759 0.316
0.382 0.237 0.093
0.618 0.763 0.907
0.880 0.241 0.684
```

Peak list (10 most intense, 10° ≤ 2θ ≤ 90°, in order of rising 2θ)
- 13.32 deg, rel. 97
- 21.52 deg, rel. 21
- 23.26 deg, rel. 52
- 27.78 deg, rel. 49
- 29.05 deg, rel. 100
- 37.95 deg, rel. 36
- 41.17 deg, rel. 20
- 41.91 deg, rel. 16
- 43.17 deg, rel. 33
- 50.39 deg, rel. 19



(5)
The following is a calculated PXRD pattern of SmTl2Br6. It was derived from a PBE-relaxed structure, using CuKα.
No peak broadening, texture or thermal motion is included.

Structure:
```
SmTl2Br6
1.0
4.227 0.000 0.000
0.000 7.804 4.205
0.000 -7.804 4.205
Sm Tl Br
1 2 6
Direct
0.000 0.000 0.000
0.500 0.338 0.666
0.500 0.666 0.338
0.000 0.024 0.413
0.000 0.413 0.024
0.000 0.628 0.628
0.500 0.014 0.774
0.500 0.250 0.250
0.500 0.774 0.014
```

Peak list (10 most intense, 10° ≤ 2θ ≤ 90°, in order of rising 2θ)
- 20.07 deg, rel. 81
- 29.22 deg, rel. 85
- 29.97 deg, rel. 46
- 31.22 deg, rel. 82
- 32.14 deg, rel. 100
- 34.48 deg, rel. 43
- 36.41 deg, rel. 69
- 37.98 deg, rel. 49
- 38.98 deg, rel. 42
- 42.79 deg, rel. 43



(6)
The following is a calculated PXRD pattern of SmTl4Br7. It was derived from a PBE-relaxed structure, using CuKα.
No peak broadening, texture or thermal motion is included.

Structure:
```
SmTl4Br7
1.0
11.140 -2.804 0.000
11.140 2.804 0.000
-2.423 0.000 7.591
Sm Tl Br
1 4 7
Direct
0.000 0.000 0.000
0.305 0.305 0.747
0.415 0.415 0.363
0.585 0.585 0.637
0.695 0.695 0.253
0.077 0.077 0.359
0.112 0.112 0.896
0.276 0.276 0.332
0.500 0.500 0.000
0.724 0.724 0.668
0.888 0.888 0.104
0.923 0.923 0.641
```

Peak list (10 most intense, 10° ≤ 2θ ≤ 90°, in order of rising 2θ)
- 20.21 deg, rel. 49
- 22.35 deg, rel. 46
- 23.19 deg, rel. 44
- 24.31 deg, rel. 78
- 25.25 deg, rel. 44
- 28.01 deg, rel. 100
- 29.76 deg, rel. 61
- 31.92 deg, rel. 98
- 39.78 deg, rel. 56
- 40.52 deg, rel. 57



(7)
The following is a calculated PXRD pattern of SnBr4. It was derived from a PBE-relaxed structure, using CuKα.
No peak broadening, texture or thermal motion is included.

Structure:
```
SnBr4
1.0
6.555 -3.302 0.000
6.555 3.302 0.000
-6.404 0.000 11.031
Sn Br
2 8
Direct
0.181 0.819 0.750
0.819 0.181 0.250
0.096 0.164 0.926
0.164 0.096 0.426
0.278 0.480 0.804
0.480 0.278 0.304
0.520 0.722 0.696
0.722 0.520 0.196
0.836 0.904 0.574
0.904 0.836 0.074
```

Peak list (10 most intense, 10° ≤ 2θ ≤ 90°, in order of rising 2θ)
- 15.57 deg, rel. 48
- 15.82 deg, rel. 32
- 16.07 deg, rel. 27
- 19.23 deg, rel. 72
- 24.81 deg, rel. 100
- 25.13 deg, rel. 50
- 32.12 deg, rel. 22
- 39.52 deg, rel. 20
- 43.08 deg, rel. 19
- 47.99 deg, rel. 23



(8)
The following is a calculated PXRD pattern of SnBr2. It was derived from a PBE-relaxed structure, using CuKα.
No peak broadening, texture or thermal motion is included.

Structure:
```
SnBr2
1.0
8.412 0.000 0.000
0.000 4.242 0.000
0.000 0.000 11.985
Sn Br
4 8
Direct
0.105 0.250 0.150
0.395 0.750 0.650
0.605 0.250 0.350
0.895 0.750 0.850
0.039 0.250 0.717
0.183 0.750 0.966
0.317 0.250 0.466
0.461 0.750 0.217
0.539 0.250 0.783
0.683 0.750 0.534
0.817 0.250 0.034
0.961 0.750 0.283
```

Peak list (10 most intense, 10° ≤ 2θ ≤ 90°, in order of rising 2θ)
- 12.86 deg, rel. 85
- 25.88 deg, rel. 51
- 27.86 deg, rel. 100
- 30.74 deg, rel. 48
- 32.58 deg, rel. 50
- 33.52 deg, rel. 53
- 35.34 deg, rel. 27
- 42.63 deg, rel. 34
- 43.43 deg, rel. 36
- 48.94 deg, rel. 28



(9)
The following is a calculated PXRD pattern of Sn3Br7. It was derived from a PBE-relaxed structure, using CuKα.
No peak broadening, texture or thermal motion is included.

Structure:
```
Sn3Br7
1.0
10.349 0.000 0.000
-5.174 8.962 0.000
0.000 0.000 6.993
Sn Br
6 14
Direct
0.191 0.381 0.000
0.191 0.809 0.000
0.381 0.191 0.500
0.619 0.809 0.000
0.809 0.191 0.500
0.809 0.619 0.500
0.085 0.542 0.774
0.128 0.255 0.402
0.128 0.872 0.402
0.255 0.128 0.902
0.333 0.667 0.216
0.458 0.542 0.774
0.458 0.915 0.774
0.542 0.085 0.274
0.542 0.458 0.274
0.667 0.333 0.716
0.745 0.872 0.402
0.872 0.128 0.902
0.872 0.745 0.902
0.915 0.458 0.274
```

Peak list (10 most intense, 10° ≤ 2θ ≤ 90°, in order of rising 2θ)
- 16.08 deg, rel. 55
- 27.38 deg, rel. 27
- 29.30 deg, rel. 100
- 32.48 deg, rel. 56
- 32.59 deg, rel. 57
- 34.67 deg, rel. 59
- 36.95 deg, rel. 44
- 43.78 deg, rel. 41
- 46.01 deg, rel. 34
- 49.60 deg, rel. 28



(10)
The following is a calculated PXRD pattern of SnBr2. It was derived from a PBE-relaxed structure, using CuKα.
No peak broadening, texture or thermal motion is included.

Structure:
```
SnBr2
1.0
13.671 0.000 0.000
-6.836 11.840 0.000
0.000 0.000 4.342
Sn Br
6 12
Direct
0.056 0.392 0.250
0.336 0.944 0.250
0.392 0.336 0.750
0.608 0.664 0.250
0.664 0.056 0.750
0.944 0.608 0.750
0.048 0.768 0.250
0.137 0.586 0.750
0.232 0.280 0.250
0.280 0.048 0.750
0.414 0.551 0.750
0.449 0.863 0.750
0.551 0.137 0.250
0.586 0.449 0.250
0.720 0.952 0.250
0.768 0.720 0.750
0.863 0.414 0.250
0.952 0.232 0.750
```

Peak list (10 most intense, 10° ≤ 2θ ≤ 90°, in order of rising 2θ)
- 12.95 deg, rel. 89
- 25.44 deg, rel. 45
- 27.16 deg, rel. 27
- 28.65 deg, rel. 100
- 32.98 deg, rel. 41
- 36.75 deg, rel. 61
- 39.12 deg, rel. 46
- 40.64 deg, rel. 26
- 41.60 deg, rel. 29
- 47.62 deg, rel. 26



(11)
The following is a calculated PXRD pattern of Sr5Sn3Br16. It was derived from a PBE-relaxed structure, using CuKα.
No peak broadening, texture or thermal motion is included.

Structure:
```
Sr5Sn3Br16
1.0
7.800 -4.509 0.000
7.800 4.509 0.000
-0.314 0.000 13.950
Sr Sn Br
5 3 16
Direct
0.000 0.000 0.000
0.332 0.332 0.498
0.334 0.838 0.729
0.503 0.503 0.229
0.838 0.334 0.729
0.008 0.501 0.227
0.501 0.008 0.227
0.839 0.839 0.727
0.000 0.000 0.610
0.148 0.700 0.852
0.152 0.152 0.861
0.181 0.635 0.355
0.183 0.183 0.348
0.334 0.334 0.110
0.340 0.830 0.111
0.500 0.999 0.611
0.503 0.503 0.611
0.635 0.181 0.355
0.675 0.675 0.840
0.676 0.676 0.339
0.700 0.148 0.852
0.830 0.340 0.111
0.834 0.834 0.114
0.999 0.500 0.611
```

Peak list (10 most intense, 10° ≤ 2θ ≤ 90°, in order of rising 2θ)
- 12.69 deg, rel. 40
- 12.91 deg, rel. 37
- 13.08 deg, rel. 28
- 25.93 deg, rel. 25
- 26.03 deg, rel. 55
- 26.29 deg, rel. 48
- 26.44 deg, rel. 25
- 29.72 deg, rel. 37
- 30.06 deg, rel. 36
- 40.02 deg, rel. 100



(12)
The following is a calculated PXRD pattern of Sr3SnBr. It was derived from a PBE-relaxed structure, using CuKα.
No peak broadening, texture or thermal motion is included.

Structure:
```
Sr3SnBr
1.0
8.600 0.000 0.000
0.000 4.877 0.000
-2.089 0.000 9.226
Sr Sn Br
6 2 2
Direct
0.085 0.250 0.280
0.315 0.250 0.965
0.406 0.750 0.629
0.594 0.250 0.371
0.685 0.750 0.035
0.915 0.750 0.720
0.334 0.750 0.223
0.666 0.250 0.777
0.139 0.250 0.624
0.861 0.750 0.376
```

Peak list (10 most intense, 10° ≤ 2θ ≤ 90°, in order of rising 2θ)
- 19.24 deg, rel. 10
- 28.09 deg, rel. 100
- 28.63 deg, rel. 14
- 30.27 deg, rel. 32
- 31.38 deg, rel. 19
- 33.17 deg, rel. 14
- 34.13 deg, rel. 35
- 36.89 deg, rel. 46
- 45.46 deg, rel. 10
- 61.16 deg, rel. 11



(13)
The following is a calculated PXRD pattern of Sn7TeBr12. It was derived from a PBE-relaxed structure, using CuKα.
No peak broadening, texture or thermal motion is included.

Structure:
```
Sn7TeBr12
1.0
7.986 4.611 3.591
-7.986 4.611 3.591
0.000 -9.222 3.591
Sn Te Br
7 1 12
Direct
0.000 0.000 0.000
0.145 0.462 0.380
0.380 0.145 0.462
0.462 0.380 0.145
0.538 0.620 0.855
0.620 0.855 0.538
0.855 0.538 0.620
0.500 0.500 0.500
0.038 0.137 0.334
0.137 0.334 0.038
0.188 0.558 0.698
0.302 0.812 0.442
0.334 0.038 0.137
0.442 0.302 0.812
0.558 0.698 0.188
0.666 0.962 0.863
0.698 0.188 0.558
0.812 0.442 0.302
0.863 0.666 0.962
0.962 0.863 0.666
```

Peak list (10 most intense, 10° ≤ 2θ ≤ 90°, in order of rising 2θ)
- 10.41 deg, rel. 14
- 11.08 deg, rel. 30
- 15.22 deg, rel. 16
- 28.57 deg, rel. 100
- 40.74 deg, rel. 36
- 40.94 deg, rel. 37
- 50.51 deg, rel. 18
- 59.13 deg, rel. 11
- 66.81 deg, rel. 15
- 67.11 deg, rel. 15